Diffraction record for Ta2CrNO5. The powder diffraction line list is computed, not measured: it uses a DFT-relaxed cell (PBE+U, Alexandria) and λ = 1.5418 Å (Cu Kα).
Peak positions follow from Bragg's law for the DFT cell and can differ from measured ones.

Main lines, in order of rising 2θ (2θ = 15–90°):
- d 4.608, I 23.1
- d 4.234, I 52.4
- d 3.382, I 100.0
- d 3.366, I 98.6
- d 2.589, I 77.9
- d 2.577, I 77.4
- d 2.386, I 48.9
- d 1.760, I 29.9
- d 1.751, I 63.0
- d 1.749, I 32.0

Lattice parameters (Å, degrees): 4.7715 4.7715 9.2169 90.27 90.27 89.74
Element x y z (fractional)
Ta 0.0080 0.0080 0.3263
Ta 0.4853 0.4853 0.1686
Ta 0.5147 0.5147 0.8314
Ta 0.9920 0.9920 0.6737
Cr 0.0000 0.0000 0.0000
Cr 0.5000 0.5000 0.5000
N 0.1987 0.1987 0.1695
N 0.8013 0.8013 0.8305
O 0.1949 0.1949 0.4980
O 0.1960 0.1960 0.8290
O 0.3004 0.6921 0.6676
O 0.3077 0.6923 0.0000
O 0.3079 0.6996 0.3324
O 0.6921 0.3004 0.6676
O 0.6923 0.3077 0.0000
O 0.6996 0.3079 0.3324
O 0.8040 0.8040 0.1710
O 0.8051 0.8051 0.5020